No. 1
For YErTm3, a GGA-PBE-relaxed structure gives the theoretical X-ray powder pattern in this record (λ = 1.5418 Å (Cu Kα)).
No peak broadening, texture or thermal motion is included.

Principal peaks in the range 2θ = 10–90°, by angle:
Position (°2θ), I/Imax
28.79, 24
32.15, 24
33.06, 100
43.69, 15
51.00, 20
57.90, 20
61.58, 22
62.14, 16
84.47, 11
89.10, 8

Structural model:
Unit cell a=6.2006 b=6.6168 c=9.0752 alpha=107.61 beta=90.02 gamma=117.89
Space group P-1 (No. 2)
Asymmetric unit:
Y  0.0334  0.3985  0.1505 x2
Er  0.3647  0.3994  0.6493 x2
Tm  0.1687  0.0014  0.2512 x2
Tm  0.2344  0.8009  0.5494 x2
Tm  0.4335  0.2004  0.9495 x2

No. 2
For Ba2UCu4Se6, a GGA-PBE-relaxed structure gives the theoretical X-ray powder pattern in this record (λ = 1.5418 Å (Cu Kα)).
No peak broadening, texture or thermal motion is included.

Principal peaks in the range 2θ = 10–90°, by angle:
Position (°2θ), I/Imax
12.64, 42
22.00, 32
27.50, 42
28.97, 100
33.02, 37
34.29, 29
36.31, 36
38.55, 27
39.99, 25
42.83, 44

Structural model:
Unit cell a=7.3546 b=9.8949 c=9.0174 alpha=90.00 beta=107.76 gamma=90.00
Space group P2_1/c (No. 14)
Asymmetric unit:
Ba  0.0172  0.2336  0.1251 x4
U  0.5000  0.0000  0.5000 x2
Cu  0.4338  0.7471  0.2328 x4
Cu  0.4960  0.9996  0.1399 x4
Se  0.2125  0.5617  0.7112 x4
Se  0.2162  0.5525  0.1488 x4
Se  0.3912  0.2176  0.9716 x4

No. 3
For NdDy2HoSe4, a GGA-PBE-relaxed structure gives the theoretical X-ray powder pattern in this record (λ = 1.5418 Å (Cu Kα)).
No peak broadening, texture or thermal motion is included.

Principal peaks in the range 2θ = 10–90°, by angle:
Position (°2θ), I/Imax
26.81, 10
30.77, 100
43.43, 13
43.82, 25
44.30, 24
44.72, 12
55.25, 13
64.08, 12
72.41, 11
73.10, 11

Structural model:
Unit cell a=7.1055 b=4.0526 c=7.2049 alpha=90.00 beta=108.76 gamma=90.00
Space group P2/m (No. 10)
Asymmetric unit:
Nd  0.0000  0.0000  0.0000 x1
Dy  0.5000  0.0000  0.5000 x1
Dy  0.5000  0.5000  0.0000 x1
Ho  0.0000  0.5000  0.5000 x1
Se  0.2531  0.0000  0.7439 x2
Se  0.2587  0.5000  0.2601 x2

No. 4
For Mg2Ir2Rh3, a GGA-PBE-relaxed structure gives the theoretical X-ray powder pattern in this record (λ = 1.5418 Å (Cu Kα)).
No peak broadening, texture or thermal motion is included.

Principal peaks in the range 2θ = 10–90°, by angle:
Position (°2θ), I/Imax
14.42, 86
29.78, 22
39.77, 99
39.98, 100
45.89, 49
46.29, 33
46.94, 31
67.23, 20
68.05, 31
81.03, 16

Structural model:
Unit cell a=8.7222 b=3.9225 c=6.2259 alpha=90.00 beta=99.30 gamma=90.00
Space group C2/m (No. 12)
Asymmetric unit:
Mg  0.1432  0.0000  0.4211 x4
Ir  0.2229  0.5000  0.1315 x4
Rh  0.0000  0.0000  0.0000 x2
Rh  0.0658  0.5000  0.7233 x4

Number 2 is which compound? Ba2UCu4Se6